Calculated powder XRD pattern
Compound: Nd3Th2Sn4
Radiation: CuKα
Structure: the PBE geometry in Alexandria
Lines closer than 0.1° are merged.

Structural model:
Cell: 8.540 8.488 8.225 Å, 90.00 111.85 90.00°
Space group P2_1/c (No. 14)
Asymmetric unit:
Nd  0.000  0.000  0.000 x2
Nd  0.258  0.169  0.772 x4
Th  0.304  0.681  0.939 x4
Sn  0.011  0.632  0.130 x4
Sn  0.419  0.034  0.176 x4

Principal peaks in the range 2θ from 15° to 90°, by angle:
27.8°, d 3.211, I = 570, hkl 2 1 -2
28.3°, d 3.148, I = 497, hkl 1 2 1
29.9°, d 2.992, I = 990, hkl 2 2 -1
30.4°, d 2.943, I = 641, hkl 1 2 -2
30.9°, d 2.896, I = 855, hkl 2 2 0
31.4°, d 2.851, I = 1000, hkl 1 1 2
33.3°, d 2.692, I = 486, hkl 3 0 -2
33.8°, d 2.653, I = 616, hkl 0 3 1
33.9°, d 2.642, I = 369, hkl 3 0 0
34.4°, d 2.605, I = 663, hkl 1 1 -3
47.0°, d 1.932, I = 280, hkl 1 4 1
48.0°, d 1.896, I = 210, hkl 2 4 -1